The following is a calculated X-ray diffraction stick pattern of Ba2Cd9Sn3. It was derived from a crystal structure in Alexandria, relaxed with PBE, using a wavelength of 1.5418 Å.
Intensities are scaled so that the largest is 100.

Structure:
```
data_Ba2Cd9Sn3
_cell_length_a 16.087
_cell_length_b 9.155
_cell_length_c 10.454
_cell_angle_alpha 90.00
_cell_angle_beta 90.00
_cell_angle_gamma 90.00
_symmetry_space_group_name_H-M 'C m c m'
_symmetry_Int_Tables_number 63
_symmetry_space_group_name_Hall '-C 2c 2'
loop_
_atom_site_label
_atom_site_type_symbol
_atom_site_fract_x
_atom_site_fract_y
_atom_site_fract_z
Ba1 Ba 0.159 0.164 0.250
Cd1 Cd 0.000 0.163 0.750
Cd2 Cd 0.000 0.339 0.054
Cd3 Cd 0.093 0.457 0.750
Cd4 Cd 0.159 0.183 0.598
Sn1 Sn 0.000 0.000 0.000
Sn2 Sn 0.191 0.500 0.000
```

Most intense lines, 10° ≤ 2θ ≤ 90°, in order of falling intensity:
32.16°, rel. 100, (3 1 3)
33.80°, rel. 79, (3 3 0)
32.29°, rel. 37, (0 2 3)
33.42°, rel. 35, (6 0 0)
34.16°, rel. 30, (5 1 2)
34.49°, rel. 29, (1 3 2)
38.05°, rel. 20, (3 3 2)
34.30°, rel. 18, (0 0 4)
27.99°, rel. 18, (4 0 2)
39.62°, rel. 17, (3 1 4)

The following is a calculated X-ray diffraction stick pattern of Ba4CdSn2. It was derived from a crystal structure in Alexandria, relaxed with PBE, using a wavelength of 1.5418 Å.
Intensities are scaled so that the largest is 100.

Structure:
```
data_Ba4CdSn2
_cell_length_a 6.0094
_cell_length_b 6.0094
_cell_length_c 29.2842
_cell_angle_alpha 90.00
_cell_angle_beta 90.00
_cell_angle_gamma 120.00
_symmetry_space_group_name_H-M 'R -3 m'
_symmetry_Int_Tables_number 166
_symmetry_space_group_name_Hall '-R 3 2"'
loop_
_atom_site_label
_atom_site_type_symbol
_atom_site_fract_x
_atom_site_fract_y
_atom_site_fract_z
Ba1 Ba 0.0000 0.0000 0.1250
Ba2 Ba 0.0000 0.0000 0.3753
Cd1 Cd 0.0000 0.0000 0.5000
Sn1 Sn 0.0000 0.0000 0.2499
```

Most intense lines, 10° ≤ 2θ ≤ 90°, in order of falling intensity:
29.73°, rel. 100, (1 1 0)
29.84°, rel. 99, (0 1 8)
52.81°, rel. 60, (3 0 0)
42.63°, rel. 37, (2 0 8)
85.53°, rel. 21, (4 1 0)
53.04°, rel. 20, (1 0 16)
70.08°, rel. 17, (3 1 8)
70.25°, rel. 17, (2 1 16)
61.75°, rel. 12, (2 2 0)
61.99°, rel. 12, (0 2 16)

The following is a calculated X-ray diffraction stick pattern of Ba3Tl6Cd2Sn. It was derived from a crystal structure in Alexandria, relaxed with PBE, using a wavelength of 1.5418 Å.
Intensities are scaled so that the largest is 100.

Structure:
```
data_Ba3Tl6Cd2Sn
_cell_length_a 6.5508
_cell_length_b 6.5508
_cell_length_c 11.3232
_cell_angle_alpha 90.00
_cell_angle_beta 90.00
_cell_angle_gamma 120.00
_symmetry_space_group_name_H-M 'P -3 m 1'
_symmetry_Int_Tables_number 164
_symmetry_space_group_name_Hall '-P 3 2"'
loop_
_atom_site_label
_atom_site_type_symbol
_atom_site_fract_x
_atom_site_fract_y
_atom_site_fract_z
Ba1 Ba 0.0000 0.0000 0.0000
Ba2 Ba 0.3333 0.6667 0.5856
Tl1 Tl 0.1699 0.3398 0.2627
Cd1 Cd 0.3333 0.6667 0.9304
Sn1 Sn 0.0000 0.0000 0.5000
```

Most intense lines, 10° ≤ 2θ ≤ 90°, in order of falling intensity:
32.54°, rel. 100, (0 2 1)
31.56°, rel. 90, (0 0 4)
28.40°, rel. 56, (1 0 3)
35.41°, rel. 43, (2 0 2)
15.65°, rel. 32, (0 0 2)
51.65°, rel. 27, (0 2 5)
56.16°, rel. 27, (2 2 0)
48.85°, rel. 24, (2 1 3)
58.74°, rel. 21, (2 0 6)
50.93°, rel. 19, (0 3 2)

The following is a calculated X-ray diffraction stick pattern of BaTl2CdSn. It was derived from a crystal structure in Alexandria, relaxed with PBE, using a wavelength of 1.5418 Å.
Intensities are scaled so that the largest is 100.

Structure:
```
data_BaTl2CdSn
_cell_length_a 5.014
_cell_length_b 5.157
_cell_length_c 12.674
_cell_angle_alpha 90.00
_cell_angle_beta 90.00
_cell_angle_gamma 90.00
_symmetry_space_group_name_H-M 'I m m 2'
_symmetry_Int_Tables_number 44
loop_
_symmetry_equiv_pos_as_xyz
'x,y,z'
'-x,-y,z'
'-x,y,z'
'x,-y,z'
'x+1/2,y+1/2,z+1/2'
'-x+1/2,-y+1/2,z+1/2'
'-x+1/2,y+1/2,z+1/2'
'x+1/2,-y+1/2,z+1/2'
loop_
_atom_site_label
_atom_site_type_symbol
_atom_site_fract_x
_atom_site_fract_y
_atom_site_fract_z
Ba1 Ba 0.000 0.000 0.000
Tl1 Tl 0.000 0.000 0.612
Tl2 Tl 0.000 0.500 0.252
Cd1 Cd 0.000 0.500 0.744
Sn1 Sn 0.000 0.000 0.380
```

Most intense lines, 10° ≤ 2θ ≤ 90°, in order of falling intensity:
28.55°, rel. 100, (1 1 2)
37.85°, rel. 48, (1 1 4)
34.79°, rel. 36, (0 2 0)
35.82°, rel. 34, (2 0 0)
27.61°, rel. 31, (1 0 3)
50.80°, rel. 25, (2 2 0)
27.29°, rel. 20, (0 1 3)
39.62°, rel. 18, (0 1 5)
44.98°, rel. 17, (1 2 3)
18.58°, rel. 15, (0 1 1)

The following is a calculated X-ray diffraction stick pattern of Ba2TmCd3Sn4. It was derived from a crystal structure in Alexandria, relaxed with PBE, using a wavelength of 1.5418 Å.
Intensities are scaled so that the largest is 100.

Structure:
```
data_Ba2TmCd3Sn4
_cell_length_a 4.976
_cell_length_b 4.976
_cell_length_c 12.512
_cell_angle_alpha 90.00
_cell_angle_beta 90.00
_cell_angle_gamma 90.00
_symmetry_space_group_name_H-M 'P -4 m 2'
_symmetry_Int_Tables_number 115
loop_
_symmetry_equiv_pos_as_xyz
'x,y,z'
'y,-x,-z'
'-x,-y,z'
'-y,x,-z'
'-x,y,z'
'-y,-x,-z'
'x,-y,z'
'y,x,-z'
loop_
_atom_site_label
_atom_site_type_symbol
_atom_site_fract_x
_atom_site_fract_y
_atom_site_fract_z
Ba1 Ba 0.000 0.500 0.237
Tm1 Tm 0.000 0.000 0.500
Cd1 Cd 0.000 0.500 0.868
Cd2 Cd 0.500 0.500 0.500
Sn1 Sn 0.000 0.000 0.000
Sn2 Sn 0.000 0.500 0.639
Sn3 Sn 0.500 0.500 0.000
```

Most intense lines, 10° ≤ 2θ ≤ 90°, in order of falling intensity:
29.12°, rel. 100, (1 1 2)
36.10°, rel. 63, (2 0 0)
27.91°, rel. 42, (1 0 3)
38.51°, rel. 35, (1 1 4)
40.34°, rel. 26, (1 0 5)
60.69°, rel. 25, (3 1 2)
51.98°, rel. 22, (2 2 0)
46.24°, rel. 21, (2 1 3)
55.24°, rel. 20, (2 1 5)
66.52°, rel. 14, (3 1 4)

The following is a calculated X-ray diffraction stick pattern of Ba3SrCd. It was derived from a crystal structure in Alexandria, relaxed with PBE, using a wavelength of 1.5418 Å.
Intensities are scaled so that the largest is 100.

Structure:
```
data_Ba3SrCd
_cell_length_a 20.636
_cell_length_b 4.436
_cell_length_c 11.761
_cell_angle_alpha 90.00
_cell_angle_beta 93.79
_cell_angle_gamma 90.00
_symmetry_space_group_name_H-M 'C 1 2/m 1'
_symmetry_Int_Tables_number 12
loop_
_symmetry_equiv_pos_as_xyz
'x,y,z'
'-x,-y,-z'
'-x,y,-z'
'x,-y,z'
'x+1/2,y+1/2,z'
'-x+1/2,-y+1/2,-z'
'-x+1/2,y+1/2,-z'
'x+1/2,-y+1/2,z'
loop_
_atom_site_label
_atom_site_type_symbol
_atom_site_fract_x
_atom_site_fract_y
_atom_site_fract_z
Ba1 Ba 0.065 0.000 0.256
Ba2 Ba 0.104 0.500 0.578
Ba3 Ba 0.247 0.500 0.199
Sr1 Sr 0.090 0.500 0.940
Cd1 Cd 0.214 0.000 0.437
```

Most intense lines, 10° ≤ 2θ ≤ 90°, in order of falling intensity:
25.36°, rel. 100, (1 1 -2)
24.84°, rel. 89, (2 0 3)
27.72°, rel. 39, (4 0 -3)
25.96°, rel. 37, (6 0 0)
31.00°, rel. 29, (1 1 3)
34.06°, rel. 26, (5 1 2)
29.59°, rel. 23, (5 1 0)
40.67°, rel. 21, (0 2 0)
44.73°, rel. 18, (7 1 3)
30.55°, rel. 16, (1 1 -3)

The following is a calculated X-ray diffraction stick pattern of Ba6Sr2Cd. It was derived from a crystal structure in Alexandria, relaxed with PBE, using a wavelength of 1.5418 Å.
Intensities are scaled so that the largest is 100.

Structure:
```
data_Ba6Sr2Cd
_cell_length_a 4.485
_cell_length_b 19.684
_cell_length_c 11.535
_cell_angle_alpha 90.00
_cell_angle_beta 90.00
_cell_angle_gamma 90.00
_symmetry_space_group_name_H-M 'A m m 2'
_symmetry_Int_Tables_number 38
loop_
_symmetry_equiv_pos_as_xyz
'x,y,z'
'-x,-y,z'
'-x,y,z'
'x,-y,z'
'x,y+1/2,z+1/2'
'-x,-y+1/2,z+1/2'
'-x,y+1/2,z+1/2'
'x,-y+1/2,z+1/2'
loop_
_atom_site_label
_atom_site_type_symbol
_atom_site_fract_x
_atom_site_fract_y
_atom_site_fract_z
Ba1 Ba 0.000 0.000 0.000
Ba2 Ba 0.000 0.121 0.607
Ba3 Ba 0.500 0.000 0.357
Ba4 Ba 0.500 0.180 0.920
Sr1 Sr 0.000 0.171 0.237
Cd1 Cd 0.500 0.000 0.750
```

Most intense lines, 10° ≤ 2θ ≤ 90°, in order of falling intensity:
25.26°, rel. 100, (1 3 1)
26.88°, rel. 95, (0 3 3)
25.15°, rel. 59, (1 0 2)
26.76°, rel. 54, (1 2 2)
31.17°, rel. 50, (1 5 1)
27.18°, rel. 34, (0 6 0)
23.88°, rel. 30, (0 5 1)
49.03°, rel. 29, (2 3 3)
40.21°, rel. 25, (2 0 0)
23.58°, rel. 24, (0 1 3)

The following is a calculated X-ray diffraction stick pattern of BaSr3Cd8. It was derived from a crystal structure in Alexandria, relaxed with PBE, using a wavelength of 1.5418 Å.
Intensities are scaled so that the largest is 100.

Structure:
```
data_BaSr3Cd8
_cell_length_a 6.3437
_cell_length_b 6.3437
_cell_length_c 9.9776
_cell_angle_alpha 90.00
_cell_angle_beta 90.00
_cell_angle_gamma 120.00
_symmetry_space_group_name_H-M 'P 3 m 1'
_symmetry_Int_Tables_number 156
loop_
_symmetry_equiv_pos_as_xyz
'x,y,z'
'-y,x-y,z'
'-x+y,-x,z'
'-y,-x,z'
'-x+y,y,z'
'x,x-y,z'
loop_
_atom_site_label
_atom_site_type_symbol
_atom_site_fract_x
_atom_site_fract_y
_atom_site_fract_z
Ba1 Ba 0.0000 0.0000 0.0000
Sr1 Sr 0.0000 0.0000 0.3861
Sr2 Sr 0.6667 0.3333 0.4996
Sr3 Sr 0.6667 0.3333 0.8822
Cd1 Cd 0.1656 0.3312 0.6878
Cd2 Cd 0.3333 0.6667 0.4398
Cd3 Cd 0.3333 0.6667 0.9404
Cd4 Cd 0.5020 0.0039 0.1934
```

Most intense lines, 10° ≤ 2θ ≤ 90°, in order of falling intensity:
33.48°, rel. 100, (1 1 2)
33.85°, rel. 88, (2 0 1)
31.44°, rel. 54, (0 1 3)
57.05°, rel. 31, (0 2 5)
58.17°, rel. 30, (2 2 0)
53.29°, rel. 26, (0 3 2)
51.91°, rel. 24, (2 1 3)
37.37°, rel. 24, (0 2 2)
36.01°, rel. 22, (0 0 4)
28.13°, rel. 22, (1 1 0)

The following is a calculated X-ray diffraction stick pattern of Ba3SrCd3. It was derived from a crystal structure in Alexandria, relaxed with PBE, using a wavelength of 1.5418 Å.
Intensities are scaled so that the largest is 100.

Structure:
```
data_Ba3SrCd3
_cell_length_a 11.281
_cell_length_b 12.456
_cell_length_c 8.402
_cell_angle_alpha 90.00
_cell_angle_beta 90.00
_cell_angle_gamma 90.00
_symmetry_space_group_name_H-M 'C m m m'
_symmetry_Int_Tables_number 65
_symmetry_space_group_name_Hall '-C 2 2'
loop_
_atom_site_label
_atom_site_type_symbol
_atom_site_fract_x
_atom_site_fract_y
_atom_site_fract_z
Ba1 Ba 0.000 0.225 0.000
Ba2 Ba 0.226 0.500 0.500
Ba3 Ba 0.231 0.500 0.000
Sr1 Sr 0.000 0.223 0.500
Cd1 Cd 0.000 0.000 0.257
Cd2 Cd 0.250 0.250 0.261
```

Most intense lines, 10° ≤ 2θ ≤ 90°, in order of falling intensity:
30.16°, rel. 100, (2 2 2)
28.67°, rel. 27, (0 4 0)
31.73°, rel. 21, (4 0 0)
51.72°, rel. 17, (2 6 2)
43.28°, rel. 16, (4 4 0)
55.55°, rel. 14, (6 2 2)
10.58°, rel. 12, (1 1 0)
62.71°, rel. 10, (4 4 4)
43.06°, rel. 10, (0 0 4)
52.55°, rel. 9, (0 4 4)

The following is a calculated X-ray diffraction stick pattern of Ba3Sr3Cd4. It was derived from a crystal structure in Alexandria, relaxed with PBE, using a wavelength of 1.5418 Å.
Intensities are scaled so that the largest is 100.

Structure:
```
data_Ba3Sr3Cd4
_cell_length_a 4.683
_cell_length_b 13.325
_cell_length_c 13.477
_cell_angle_alpha 90.00
_cell_angle_beta 90.00
_cell_angle_gamma 90.00
_symmetry_space_group_name_H-M 'A m m 2'
_symmetry_Int_Tables_number 38
loop_
_symmetry_equiv_pos_as_xyz
'x,y,z'
'-x,-y,z'
'-x,y,z'
'x,-y,z'
'x,y+1/2,z+1/2'
'-x,-y+1/2,z+1/2'
'-x,y+1/2,z+1/2'
'x,-y+1/2,z+1/2'
loop_
_atom_site_label
_atom_site_type_symbol
_atom_site_fract_x
_atom_site_fract_y
_atom_site_fract_z
Ba1 Ba 0.000 0.000 0.000
Ba2 Ba 0.000 0.159 0.653
Sr1 Sr 0.000 0.000 0.317
Sr2 Sr 0.500 0.248 0.403
Cd1 Cd 0.500 0.000 0.515
Cd2 Cd 0.500 0.000 0.789
Cd3 Cd 0.500 0.128 0.162
```

Most intense lines, 10° ≤ 2θ ≤ 90°, in order of falling intensity:
28.33°, rel. 100, (1 1 3)
28.48°, rel. 95, (1 3 1)
29.92°, rel. 42, (0 4 2)
29.71°, rel. 38, (0 2 4)
26.77°, rel. 28, (1 2 2)
38.45°, rel. 27, (2 0 0)
49.47°, rel. 20, (2 4 2)
56.02°, rel. 19, (1 7 3)
63.52°, rel. 19, (3 1 3)
55.61°, rel. 19, (1 3 7)

The following is a calculated X-ray diffraction stick pattern of Ba3Sr3TlCd2. It was derived from a crystal structure in Alexandria, relaxed with PBE, using a wavelength of 1.5418 Å.
Intensities are scaled so that the largest is 100.

Structure:
```
data_Ba3Sr3TlCd2
_cell_length_a 9.0761
_cell_length_b 9.0761
_cell_length_c 5.5535
_cell_angle_alpha 90.00
_cell_angle_beta 90.00
_cell_angle_gamma 120.00
_symmetry_space_group_name_H-M 'P -6 2 m'
_symmetry_Int_Tables_number 189
_symmetry_space_group_name_Hall 'P -6 -2'
loop_
_atom_site_label
_atom_site_type_symbol
_atom_site_fract_x
_atom_site_fract_y
_atom_site_fract_z
Ba1 Ba 0.0000 0.7457 0.0000
Sr1 Sr 0.0000 0.4103 0.5000
Tl1 Tl 0.0000 0.0000 0.5000
Cd1 Cd 0.3333 0.6667 0.0000
```

Most intense lines, 10° ≤ 2θ ≤ 90°, in order of falling intensity:
27.81°, rel. 100, (2 0 1)
34.23°, rel. 99, (3 0 0)
25.35°, rel. 67, (1 1 1)
53.43°, rel. 61, (3 2 1)
32.24°, rel. 36, (0 0 2)
30.08°, rel. 32, (2 1 0)
47.73°, rel. 29, (3 0 2)
44.67°, rel. 27, (2 1 2)
19.57°, rel. 23, (1 1 0)
11.26°, rel. 22, (1 0 0)

The following is a calculated X-ray diffraction stick pattern of Ba4TbCd5. It was derived from a crystal structure in Alexandria, relaxed with PBE, using a wavelength of 1.5418 Å.
Intensities are scaled so that the largest is 100.

Structure:
```
data_Ba4TbCd5
_cell_length_a 4.096
_cell_length_b 4.096
_cell_length_c 21.213
_cell_angle_alpha 90.00
_cell_angle_beta 90.00
_cell_angle_gamma 90.00
_symmetry_space_group_name_H-M 'P 4/m m m'
_symmetry_Int_Tables_number 123
_symmetry_space_group_name_Hall '-P 4 2'
loop_
_atom_site_label
_atom_site_type_symbol
_atom_site_fract_x
_atom_site_fract_y
_atom_site_fract_z
Ba1 Ba 0.000 0.000 0.105
Ba2 Ba 0.000 0.000 0.315
Tb1 Tb 0.000 0.000 0.500
Cd1 Cd 0.500 0.500 0.000
Cd2 Cd 0.500 0.500 0.209
Cd3 Cd 0.500 0.500 0.424
```

Most intense lines, 10° ≤ 2θ ≤ 90°, in order of falling intensity:
30.33°, rel. 100, (1 0 5)
30.87°, rel. 57, (1 1 0)
54.57°, rel. 37, (2 1 5)
44.23°, rel. 21, (2 0 0)
53.55°, rel. 12, (1 1 10)
89.26°, rel. 10, (3 2 5)
73.05°, rel. 9, (3 1 0)
72.77°, rel. 8, (3 0 5)
64.34°, rel. 7, (2 2 0)
63.10°, rel. 7, (2 0 10)

The following is a calculated X-ray diffraction stick pattern of Ba2CdTc2. It was derived from a crystal structure in Alexandria, relaxed with PBE, using a wavelength of 1.5418 Å.
Intensities are scaled so that the largest is 100.

Structure:
```
data_Ba2CdTc2
_cell_length_a 3.602
_cell_length_b 3.602
_cell_length_c 22.197
_cell_angle_alpha 90.00
_cell_angle_beta 90.00
_cell_angle_gamma 90.00
_symmetry_space_group_name_H-M 'I 4/m m m'
_symmetry_Int_Tables_number 139
_symmetry_space_group_name_Hall '-I 4 2'
loop_
_atom_site_label
_atom_site_type_symbol
_atom_site_fract_x
_atom_site_fract_y
_atom_site_fract_z
Ba1 Ba 0.000 0.000 0.120
Cd1 Cd 0.000 0.000 0.500
Tc1 Tc 0.000 0.500 0.250
```

Most intense lines, 10° ≤ 2θ ≤ 90°, in order of falling intensity:
27.54°, rel. 100, (1 0 3)
32.00°, rel. 89, (1 0 5)
32.26°, rel. 67, (0 0 8)
36.19°, rel. 66, (1 1 2)
38.91°, rel. 59, (1 1 4)
61.38°, rel. 41, (2 0 8)
50.69°, rel. 38, (2 0 0)
54.87°, rel. 27, (1 1 10)
61.22°, rel. 27, (2 1 5)
43.12°, rel. 27, (1 1 6)

The following is a calculated X-ray diffraction stick pattern of BaTiCd. It was derived from a crystal structure in Alexandria, relaxed with PBE, using a wavelength of 1.5418 Å.
Intensities are scaled so that the largest is 100.

Structure:
```
data_BaTiCd
_cell_length_a 4.705
_cell_length_b 6.102
_cell_length_c 6.862
_cell_angle_alpha 86.95
_cell_angle_beta 70.01
_cell_angle_gamma 90.00
_symmetry_space_group_name_H-M 'P 1'
_symmetry_Int_Tables_number 1
loop_
_symmetry_equiv_pos_as_xyz
'x,y,z'
loop_
_atom_site_label
_atom_site_type_symbol
_atom_site_fract_x
_atom_site_fract_y
_atom_site_fract_z
Ba1 Ba 0.000 0.000 0.000
Ba2 Ba 0.421 0.484 0.157
Ti1 Ti 0.251 0.929 0.499
Ti2 Ti 0.739 0.763 0.521
Cd1 Cd 0.153 0.503 0.694
Cd2 Cd 0.711 0.226 0.579
```

Most intense lines, 10° ≤ 2θ ≤ 90°, in order of falling intensity:
31.25°, rel. 100, (1 1 2)
25.12°, rel. 92, (1 1 0)
36.14°, rel. 61, (1 2 0)
38.26°, rel. 55, (2 0 1)
32.18°, rel. 54, (0 1 -2)
28.14°, rel. 50, (1 0 2)
27.71°, rel. 44, (0 0 2)
35.47°, rel. 41, (1 2 1)
48.98°, rel. 34, (1 2 3)
51.56°, rel. 32, (1 2 -2)